No. 1
# Tb5Rh3
Theoretical X-ray powder pattern, Cu Ka. Input: a crystal structure in Alexandria, relaxed with GGA-PBE.

Peak list (12 most intense, 10 to 90 degrees two-theta, most intense first)
| two_theta | d_spacing | Rel. int. | (hkl) |
| --- | --- | --- | --- |
| 36.7 | 2.449 | 100 | 4 2 0 |
| 29.4 | 3.042 | 58 | 3 1 1 |
| 33.5 | 2.671 | 39 | 2 1 2 |
| 32.7 | 2.741 | 39 | 3 2 1 |
| 38.4 | 2.345 | 24 | 3 1 2 |
| 37.5 | 2.401 | 21 | 3 0 2 |
| 39.4 | 2.285 | 20 | 4 2 1 |
| 29.2 | 3.061 | 18 | 1 0 2 |
| 61.6 | 1.506 | 17 | 5 4 2 |
| 59.7 | 1.548 | 17 | 5 5 0 |
| 46.6 | 1.949 | 16 | 2 1 3 |
| 52.9 | 1.731 | 13 | 6 2 0 |

Structural model:
Unit cell a=10.947 b=10.947 c=6.376 alpha=90.00 beta=90.00 gamma=90.00
Element x y z (fractional)
1 Tb 0.041 0.161 0.119
2 Tb 0.041 0.339 0.619
3 Tb 0.161 0.041 0.619
4 Tb 0.161 0.459 0.119
5 Tb 0.250 0.750 0.000
6 Tb 0.250 0.750 0.500
7 Tb 0.339 0.041 0.119
8 Tb 0.339 0.459 0.619
9 Tb 0.459 0.161 0.619
10 Tb 0.459 0.339 0.119
11 Tb 0.541 0.661 0.881
12 Tb 0.541 0.839 0.381
13 Tb 0.661 0.541 0.381
14 Tb 0.661 0.959 0.881
15 Tb 0.750 0.250 0.000
16 Tb 0.750 0.250 0.500
17 Tb 0.839 0.541 0.881
18 Tb 0.839 0.959 0.381
19 Tb 0.959 0.661 0.381
20 Tb 0.959 0.839 0.881
21 Rh 0.096 0.596 0.750
22 Rh 0.096 0.904 0.250
23 Rh 0.250 0.250 0.375
24 Rh 0.250 0.250 0.875
25 Rh 0.404 0.596 0.250
26 Rh 0.404 0.904 0.750
27 Rh 0.596 0.096 0.250
28 Rh 0.596 0.404 0.750
29 Rh 0.750 0.750 0.125
30 Rh 0.750 0.750 0.625
31 Rh 0.904 0.096 0.750
32 Rh 0.904 0.404 0.250



No. 2
# TbRh6
Theoretical X-ray powder pattern, Cu Ka. Input: a crystal structure in Alexandria, relaxed with GGA-PBE.

Peak list (12 most intense, 10 to 90 degrees two-theta, most intense first)
| two_theta | d_spacing | Rel. int. | (hkl) |
| --- | --- | --- | --- |
| 37.2 | 2.418 | 100 | 3 1 1 |
| 36.0 | 2.493 | 78 | 1 0 4 |
| 44.8 | 2.024 | 71 | 1 2 3 |
| 37.6 | 2.389 | 69 | 2 1 3 |
| 44.3 | 2.043 | 42 | 2 1 4 |
| 41.6 | 2.169 | 41 | 2 2 1 |
| 43.5 | 2.080 | 38 | 4 0 1 |
| 34.5 | 2.600 | 32 | 0 2 0 |
| 40.7 | 2.217 | 31 | 2 2 0 |
| 38.7 | 2.327 | 28 | 0 2 2 |
| 50.7 | 1.799 | 23 | 1 2 4 |
| 68.4 | 1.372 | 22 | 5 2 2 |

Structural model:
Unit cell a=8.490 b=5.199 c=10.435 alpha=90.00 beta=90.00 gamma=90.00
Element x y z (fractional)
1 Tb 0.243 0.250 0.061
2 Tb 0.257 0.750 0.561
3 Tb 0.743 0.250 0.439
4 Tb 0.757 0.750 0.939
5 Rh 0.059 0.750 0.082
6 Rh 0.061 0.006 0.307
7 Rh 0.061 0.494 0.307
8 Rh 0.113 0.250 0.520
9 Rh 0.151 0.750 0.844
10 Rh 0.185 0.250 0.767
11 Rh 0.315 0.750 0.267
12 Rh 0.349 0.250 0.344
13 Rh 0.387 0.750 0.020
14 Rh 0.439 0.506 0.807
15 Rh 0.439 0.994 0.807
16 Rh 0.441 0.250 0.582
17 Rh 0.559 0.750 0.418
18 Rh 0.561 0.006 0.193
19 Rh 0.561 0.494 0.193
20 Rh 0.613 0.250 0.980
21 Rh 0.651 0.750 0.656
22 Rh 0.685 0.250 0.733
23 Rh 0.815 0.750 0.233
24 Rh 0.849 0.250 0.156
25 Rh 0.887 0.750 0.480
26 Rh 0.939 0.506 0.693
27 Rh 0.939 0.994 0.693
28 Rh 0.941 0.250 0.918